# Pm2Sm5Pt4
Calculated powder XRD pattern, Cu Kα. Input: DFT lattice parameters and positions (PBE).
No peak broadening, texture or thermal motion is included.

Top 10 peaks for 10 to 80 degrees two-theta, most intense first:
d_spacing, 2θ/deg, Rel. int.
3.071, 29.1, 100
2.535, 35.4, 85
2.909, 30.7, 76
6.894, 12.8, 56
2.103, 43.0, 51
3.780, 23.5, 41
2.476, 36.3, 40
1.912, 47.6, 38
2.388, 37.7, 31
2.576, 34.8, 31

Structural model:
```
Pm2Sm5Pt4
1.0
12.4910 -1.9121 0.0000
12.4910 1.9121 0.0000
-0.4285 0.0000 6.8938
Pm Sm Pt
2 5 4
direct
0.0896 0.0896 0.1621 Pm
0.9104 0.9104 0.8379 Pm
0.1339 0.1339 0.6916 Sm
0.2332 0.2332 0.2314 Sm
0.5000 0.5000 0.5000 Sm
0.7668 0.7668 0.7686 Sm
0.8661 0.8661 0.3084 Sm
0.0256 0.0256 0.8025 Pt
0.3303 0.3303 0.0060 Pt
0.6697 0.6697 0.9940 Pt
0.9744 0.9744 0.1975 Pt
```

=====

# PmSmPt3
Calculated powder XRD pattern, Cu Kα. Input: DFT lattice parameters and positions (PBE).
No peak broadening, texture or thermal motion is included.

Top 10 peaks for 10 to 80 degrees two-theta, most intense first:
d_spacing, 2θ/deg, Rel. int.
2.602, 34.5, 100
2.492, 36.0, 51
2.626, 34.1, 49
2.472, 36.3, 39
1.981, 45.8, 37
2.097, 43.1, 29
2.242, 40.2, 25
2.013, 45.0, 21
1.246, 76.4, 21
1.546, 59.8, 21

Structural model:
```
PmSmPt3
1.0
7.0124 0.0000 0.0000
0.0000 7.9231 0.0000
0.0000 0.0000 7.9244
Pm Sm Pt
4 4 12
direct
0.2118 0.1362 0.0000 Pm
0.2882 0.6362 0.5000 Pm
0.7118 0.3638 0.5000 Pm
0.7882 0.8638 0.0000 Pm
0.2114 0.1359 0.5000 Sm
0.2886 0.6359 0.0000 Sm
0.7114 0.3641 0.0000 Sm
0.7886 0.8641 0.5000 Sm
0.0000 0.5000 0.2478 Pt
0.0000 0.5000 0.7522 Pt
0.1197 0.8543 0.2501 Pt
0.1197 0.8543 0.7499 Pt
0.3803 0.3543 0.2499 Pt
0.3803 0.3543 0.7501 Pt
0.5000 0.0000 0.2522 Pt
0.5000 0.0000 0.7478 Pt
0.6197 0.6457 0.2499 Pt
0.6197 0.6457 0.7501 Pt
0.8803 0.1457 0.2501 Pt
0.8803 0.1457 0.7499 Pt
```

=====

# PmSm3Pt3
Calculated powder XRD pattern, Cu Kα. Input: DFT lattice parameters and positions (PBE).
No peak broadening, texture or thermal motion is included.

Top 10 peaks for 10 to 80 degrees two-theta, most intense first:
d_spacing, 2θ/deg, Rel. int.
2.513, 35.7, 100
2.501, 35.9, 99
2.899, 30.8, 34
1.773, 51.6, 30
1.449, 64.3, 28
5.015, 17.7, 27
1.451, 64.2, 14
1.442, 64.7, 14
2.883, 31.0, 11
1.394, 67.2, 9

Structural model:
```
PmSm3Pt3
1.0
5.0267 2.9022 2.0371
-5.0267 2.9022 2.0371
0.0000 -5.8043 2.0371
Pm Sm Pt
1 3 3
direct
0.0000 0.0000 0.0000 Pm
0.1217 0.5611 0.5611 Sm
0.5611 0.1217 0.5611 Sm
0.5611 0.5611 0.1217 Sm
0.0631 0.0631 0.5618 Pt
0.0631 0.5618 0.0631 Pt
0.5618 0.0631 0.0631 Pt
```

=====

# Pm2SmPt3
Calculated powder XRD pattern, Cu Kα. Input: DFT lattice parameters and positions (PBE).
No peak broadening, texture or thermal motion is included.

Top 7 peaks for 10 to 80 degrees two-theta, most intense first:
d_spacing, 2θ/deg, Rel. int.
2.532, 35.5, 100
1.462, 63.7, 37
1.790, 51.0, 18
1.266, 75.0, 12
3.581, 24.9, 2
1.601, 57.6, 1
2.067, 43.8, 1

Structural model:
```
Pm2SmPt3
1.0
5.0669 0.0000 0.0000
-2.5334 4.3880 0.0000
0.0000 0.0000 6.1961
Pm Sm Pt
2 1 3
direct
0.3333 0.6667 0.1668 Pm
0.6667 0.3333 0.8332 Pm
0.0000 0.0000 0.5000 Sm
0.0000 0.0000 0.0000 Pt
0.3333 0.6667 0.6632 Pt
0.6667 0.3333 0.3368 Pt
```

=====

# Pm2Sm2ZnPt4
Calculated powder XRD pattern, Cu Kα. Input: DFT lattice parameters and positions (PBE).
No peak broadening, texture or thermal motion is included.

Top 10 peaks for 10 to 80 degrees two-theta, most intense first:
d_spacing, 2θ/deg, Rel. int.
2.704, 33.1, 100
2.482, 36.2, 57
1.472, 63.2, 32
1.755, 52.1, 20
1.612, 57.1, 18
2.119, 42.7, 11
1.352, 69.5, 10
2.100, 43.1, 9
2.622, 34.2, 8
1.241, 76.8, 7

Structural model:
```
Pm2Sm2ZnPt4
1.0
-3.5104 3.5104 4.2389
3.5104 -3.5104 4.2389
3.5104 3.5104 -4.2389
Pm Sm Zn Pt
2 2 1 4
direct
0.2500 0.7500 0.5000 Pm
0.7500 0.2500 0.5000 Pm
0.1828 0.1828 0.0000 Sm
0.8172 0.8172 0.0000 Sm
0.5000 0.5000 0.0000 Zn
0.2475 0.2475 0.4951 Pt
0.2475 0.7525 0.0000 Pt
0.7525 0.2475 0.0000 Pt
0.7525 0.7525 0.5049 Pt
```

=====

# PmSn3Pt
Calculated powder XRD pattern, Cu Kα. Input: DFT lattice parameters and positions (PBE).
No peak broadening, texture or thermal motion is included.

Top 10 peaks for 10 to 80 degrees two-theta, most intense first:
d_spacing, 2θ/deg, Rel. int.
2.740, 32.7, 100
2.309, 39.0, 78
2.246, 40.1, 60
2.892, 30.9, 56
2.564, 35.0, 51
4.237, 21.0, 50
2.505, 35.9, 49
2.572, 34.9, 38
5.009, 17.7, 37
3.067, 29.1, 34

Structural model:
```
PmSn3Pt
1.0
5.5760 -2.3094 0.0000
5.5760 2.3094 0.0000
-3.0321 0.0000 10.0184
Pm Sn Pt
2 6 2
direct
0.1099 0.1099 0.2123 Pm
0.8901 0.8901 0.7877 Pm
0.1772 0.1772 0.7371 Sn
0.3438 0.3438 0.5159 Sn
0.3746 0.3746 0.0264 Sn
0.6254 0.6254 0.9736 Sn
0.6562 0.6562 0.4841 Sn
0.8228 0.8228 0.2629 Sn
0.4397 0.4397 0.2941 Pt
0.5603 0.5603 0.7059 Pt
```

=====

# Pm2SnPt3
Calculated powder XRD pattern, Cu Kα. Input: DFT lattice parameters and positions (PBE).
No peak broadening, texture or thermal motion is included.

Top 10 peaks for 10 to 80 degrees two-theta, most intense first:
d_spacing, 2θ/deg, Rel. int.
2.739, 32.7, 100
2.281, 39.5, 73
2.726, 32.9, 52
2.306, 39.1, 38
1.455, 64.0, 35
1.760, 51.9, 29
3.777, 23.6, 23
1.888, 48.2, 21
1.461, 63.7, 18
1.953, 46.5, 16

Structural model:
```
Pm2SnPt3
1.0
0.0000 4.6117 7.8747
3.7767 0.0000 7.8747
3.7767 4.6117 0.0000
Pm Sn Pt
4 2 6
direct
0.2382 0.7618 0.7618 Pm
0.2500 0.2500 0.2500 Pm
0.7500 0.7500 0.7500 Pm
0.7618 0.2382 0.2382 Pm
0.3339 0.3339 0.6661 Sn
0.6661 0.6661 0.3339 Sn
0.1657 0.1657 0.8343 Pt
0.1676 0.6644 0.3356 Pt
0.3356 0.8324 0.1676 Pt
0.6644 0.1676 0.8324 Pt
0.8324 0.3356 0.6644 Pt
0.8343 0.8343 0.1657 Pt
```

=====

# Pm3SnPt2
Calculated powder XRD pattern, Cu Kα. Input: DFT lattice parameters and positions (PBE).
No peak broadening, texture or thermal motion is included.

Top 10 peaks for 10 to 80 degrees two-theta, most intense first:
d_spacing, 2θ/deg, Rel. int.
2.508, 35.8, 100
3.304, 27.0, 73
2.196, 41.1, 67
3.803, 23.4, 40
1.652, 55.6, 26
2.751, 32.5, 20
2.339, 38.5, 18
2.229, 40.5, 17
1.320, 71.5, 17
1.920, 47.3, 16

Structural model:
```
Pm3SnPt2
1.0
3.8028 2.1956 6.6734
-3.8028 2.1956 6.6734
0.0000 -4.3911 6.6734
Pm Sn Pt
6 2 4
direct
0.0338 0.7500 0.4662 Pm
0.2500 0.5338 0.9662 Pm
0.4662 0.0338 0.7500 Pm
0.5338 0.9662 0.2500 Pm
0.7500 0.4662 0.0338 Pm
0.9662 0.2500 0.5338 Pm
0.0000 0.0000 0.0000 Sn
0.5000 0.5000 0.5000 Sn
0.1462 0.1462 0.1462 Pt
0.3538 0.3538 0.3538 Pt
0.6462 0.6462 0.6462 Pt
0.8538 0.8538 0.8538 Pt
```

=====

# Pm2Sn2Pt15
Calculated powder XRD pattern, Cu Kα. Input: DFT lattice parameters and positions (PBE).
No peak broadening, texture or thermal motion is included.

Top 10 peaks for 10 to 80 degrees two-theta, most intense first:
d_spacing, 2θ/deg, Rel. int.
2.331, 38.6, 100
2.090, 43.3, 91
2.360, 38.1, 41
2.250, 40.1, 36
4.720, 18.8, 31
1.362, 68.9, 30
2.725, 32.9, 26
1.485, 62.5, 24
2.031, 44.6, 24
1.314, 71.8, 19

Structural model:
```
Pm2Sn2Pt15
1.0
4.7195 2.7248 4.5004
-4.7195 2.7248 4.5004
0.0000 -5.4496 4.5004
Pm Sn Pt
2 2 15
direct
0.1449 0.1449 0.1449 Pm
0.8551 0.8551 0.8551 Pm
0.3956 0.3956 0.3956 Sn
0.6044 0.6044 0.6044 Sn
0.0000 0.5000 0.5000 Pt
0.1614 0.1614 0.6706 Pt
0.1614 0.6706 0.1614 Pt
0.1704 0.5000 0.8296 Pt
0.1704 0.8296 0.5000 Pt
0.3294 0.8386 0.8386 Pt
0.5000 0.0000 0.5000 Pt
0.5000 0.1704 0.8296 Pt
0.5000 0.5000 0.0000 Pt
0.5000 0.8296 0.1704 Pt
0.6706 0.1614 0.1614 Pt
0.8296 0.1704 0.5000 Pt
0.8296 0.5000 0.1704 Pt
0.8386 0.3294 0.8386 Pt
0.8386 0.8386 0.3294 Pt
```

=====

# PmSn12Pt4
Calculated powder XRD pattern, Cu Kα. Input: DFT lattice parameters and positions (PBE).
No peak broadening, texture or thermal motion is included.

Top 10 peaks for 10 to 80 degrees two-theta, most intense first:
d_spacing, 2θ/deg, Rel. int.
3.008, 29.7, 100
1.942, 46.8, 63
2.127, 42.5, 54
2.542, 35.3, 45
3.363, 26.5, 33
1.865, 48.8, 32
4.756, 18.7, 28
1.402, 66.7, 19
1.504, 61.7, 18
1.434, 65.0, 13

Structural model:
```
PmSn12Pt4
1.0
-4.7558 4.7558 4.7558
4.7558 -4.7558 4.7558
4.7558 4.7558 -4.7558
Pm Sn Pt
1 12 4
direct
0.0000 0.0000 0.0000 Pm
0.1579 0.3429 0.5008 Sn
0.1579 0.6571 0.8150 Sn
0.1850 0.8421 0.3429 Sn
0.3429 0.1850 0.8421 Sn
0.3429 0.5008 0.1579 Sn
0.4992 0.8421 0.6571 Sn
0.5008 0.1579 0.3429 Sn
0.6571 0.4992 0.8421 Sn
0.6571 0.8150 0.1579 Sn
0.8150 0.1579 0.6571 Sn
0.8421 0.3429 0.1850 Sn
0.8421 0.6571 0.4992 Sn
0.0000 0.0000 0.5000 Pt
0.0000 0.5000 0.0000 Pt
0.5000 0.0000 0.0000 Pt
0.5000 0.5000 0.5000 Pt
```

=====

# SrPmZn2Pt2
Calculated powder XRD pattern, Cu Kα. Input: DFT lattice parameters and positions (PBE).
No peak broadening, texture or thermal motion is included.

Top 10 peaks for 10 to 80 degrees two-theta, most intense first:
d_spacing, 2θ/deg, Rel. int.
2.778, 32.2, 100
2.219, 40.7, 64
3.467, 25.7, 30
1.490, 62.3, 25
1.734, 52.8, 25
1.366, 68.7, 22
8.041, 11.0, 18
2.198, 41.1, 13
4.021, 22.1, 12
2.010, 45.1, 11

Structural model:
```
SrPmZn2Pt2
1.0
4.4370 0.0000 0.0000
-2.2185 3.8426 0.0000
0.0000 0.0000 8.0414
Sr Pm Zn Pt
1 1 2 2
direct
0.0000 0.0000 0.0000 Sr
0.0000 0.0000 0.5000 Pm
0.3333 0.6667 0.7309 Zn
0.6667 0.3333 0.2691 Zn
0.3333 0.6667 0.2803 Pt
0.6667 0.3333 0.7197 Pt
```

=====

# TbPm2Pt
Calculated powder XRD pattern, Cu Kα. Input: DFT lattice parameters and positions (PBE).
No peak broadening, texture or thermal motion is included.

Top 10 peaks for 10 to 80 degrees two-theta, most intense first:
d_spacing, 2θ/deg, Rel. int.
2.967, 30.1, 100
2.337, 38.5, 47
3.010, 29.7, 39
3.641, 24.5, 37
2.358, 38.2, 35
1.943, 46.7, 35
5.702, 15.5, 30
1.829, 49.8, 24
2.912, 30.7, 22
1.254, 75.8, 19

Structural model:
```
TbPm2Pt
1.0
6.7732 0.0000 0.0000
0.0000 6.5712 0.0000
0.0000 0.0000 11.4536
Tb Pm Pt
4 8 4
direct
0.0509 0.2500 0.2500 Tb
0.4491 0.7500 0.2500 Tb
0.5509 0.2500 0.7500 Tb
0.9491 0.7500 0.7500 Tb
0.0842 0.2350 0.5852 Pm
0.0842 0.2650 0.9148 Pm
0.4158 0.7350 0.9148 Pm
0.4158 0.7650 0.5852 Pm
0.5842 0.2350 0.4148 Pm
0.5842 0.2650 0.0852 Pm
0.9158 0.7350 0.0852 Pm
0.9158 0.7650 0.4148 Pm
0.2500 0.0000 0.0924 Pt
0.2500 0.5000 0.4076 Pt
0.7500 0.0000 0.9076 Pt
0.7500 0.5000 0.5924 Pt
```

=====

# Tb5Pm2Pt4
Calculated powder XRD pattern, Cu Kα. Input: DFT lattice parameters and positions (PBE).
No peak broadening, texture or thermal motion is included.

Top 10 peaks for 10 to 80 degrees two-theta, most intense first:
d_spacing, 2θ/deg, Rel. int.
3.024, 29.5, 100
2.501, 35.9, 85
2.898, 30.9, 73
6.809, 13.0, 51
2.068, 43.8, 46
1.889, 48.2, 44
3.734, 23.8, 40
2.459, 36.5, 37
2.383, 37.7, 34
2.522, 35.6, 32

Structural model:
```
Tb5Pm2Pt4
1.0
12.3662 -1.8889 0.0000
12.3662 1.8889 0.0000
-0.5598 0.0000 6.8095
Tb Pm Pt
5 2 4
direct
0.0000 0.0000 0.0000 Tb
0.2646 0.2646 0.2689 Tb
0.3673 0.3673 0.8031 Tb
0.6327 0.6327 0.1969 Tb
0.7354 0.7354 0.7311 Tb
0.4089 0.4089 0.3292 Pm
0.5911 0.5911 0.6708 Pm
0.1708 0.1708 0.4963 Pt
0.4748 0.4748 0.6976 Pt
0.5252 0.5252 0.3024 Pt
0.8292 0.8292 0.5037 Pt
```